1.
The following is a theoretical powder XRD pattern of Pr4Dy8Y. It was derived from a cell relaxed with GGA-PBE, using Cu Kα (weighted mean of Kα1 and Kα2).
No peak broadening, texture or thermal motion is included.

Structure:
Cell lengths 11.1018, 11.1018, 13.5655 Å; angles 90.00, 90.00, 120.00 degrees
Space group R-3m (No. 166, hexagonal axes)
One atom of each set of equivalent atoms:
Pr (0.0000, 0.0000, 0.0000) (multiplicity 3)
Pr (0.0000, 0.5000, 0.0000) (multiplicity 9)
Dy (0.0000, 0.0000, 0.2395) (multiplicity 6)
Dy (0.0137, 0.5068, 0.7460) (multiplicity 18)
Y (0.0000, 0.0000, 0.5000) (multiplicity 3)

Peak list (12 most intense, 10 to 80 degrees two-theta, in order of falling intensity)
| 2θ (°) | I/Imax | hkl |
| --- | --- | --- |
| 32.28 | 100 | 2 2 0 |
| 57.54 | 28 | 6 0 0 |
| 46.30 | 18 | 4 0 4 |
| 76.86 | 15 | 6 2 4 |
| 19.60 | 14 | 0 0 3 |
| 22.67 | 12 | 2 0 2 |
| 57.64 | 9 | 2 0 8 |
| 38.05 | 8 | 2 2 3 |
| 67.49 | 6 | 4 4 0 |
| 67.61 | 6 | 0 4 8 |
| 52.15 | 5 | 4 2 2 |
| 39.81 | 4 | 0 4 2 |

2.
The following is a theoretical powder XRD pattern of Y4PaC4. It was derived from a cell relaxed with GGA-PBE, using Cu Kα (weighted mean of Kα1 and Kα2).
No peak broadening, texture or thermal motion is included.

Structure:
Cell lengths 12.0170, 3.6437, 8.9071 Å; angles 90.00, 119.74, 90.00 degrees
Space group C2/m (No. 12)
One atom of each set of equivalent atoms:
Y (0.1115, 0.0000, 0.3892) (multiplicity 4)
Y (0.2046, 0.5000, 0.8104) (multiplicity 4)
Pa (0.0000, 0.5000, 0.0000) (multiplicity 2)
C (0.0908, 0.0000, 0.9035) (multiplicity 4)
C (0.1977, 0.5000, 0.2935) (multiplicity 4)

Peak list (12 most intense, 10 to 80 degrees two-theta, in order of falling intensity)
| 2θ (°) | I/Imax | hkl |
| --- | --- | --- |
| 30.11 | 100 | 1 1 1 |
| 34.88 | 59 | 3 1 -2 |
| 30.24 | 32 | 4 0 -1 |
| 35.07 | 30 | 2 0 2 |
| 50.21 | 29 | 1 1 -4 |
| 11.44 | 29 | 0 0 1 |
| 59.58 | 28 | 4 2 -1 |
| 50.39 | 20 | 5 1 0 |
| 15.05 | 20 | 2 0 -1 |
| 62.59 | 15 | 2 2 2 |
| 59.77 | 14 | 0 0 5 |
| 50.07 | 11 | 0 2 0 |

3.
The following is a theoretical powder XRD pattern of La4TbPr2Th. It was derived from a cell relaxed with GGA-PBE, using Cu Kα (weighted mean of Kα1 and Kα2).
No peak broadening, texture or thermal motion is included.

Structure:
Cell lengths 5.2069, 5.2208, 10.4101 Å; angles 90.00, 90.00, 90.00 degrees
Space group Pmmm (No. 47)
One atom of each set of equivalent atoms:
La (0.0000, 0.0000, 0.2455) (multiplicity 2)
La (0.5000, 0.5000, 0.2459) (multiplicity 2)
Tb (0.0000, 0.5000, 0.5000) (multiplicity 1)
Pr (0.0000, 0.5000, 0.0000) (multiplicity 1)
Pr (0.5000, 0.0000, 0.5000) (multiplicity 1)
Th (0.5000, 0.0000, 0.0000) (multiplicity 1)

Peak list (12 most intense, 10 to 80 degrees two-theta, in order of falling intensity)
| 2θ (°) | I/Imax | hkl |
| --- | --- | --- |
| 29.69 | 100 | 1 1 2 |
| 49.47 | 37 | 2 2 0 |
| 34.40 | 34 | 2 0 0 |
| 58.81 | 29 | 3 1 2 |
| 34.46 | 17 | 0 0 4 |
| 58.68 | 15 | 1 3 2 |
| 61.66 | 13 | 2 2 4 |
| 72.65 | 4 | 4 0 0 |
| 72.41 | 2 | 0 4 0 |
| 19.04 | 2 | 0 1 1 |
| 17.02 | 1 | 0 0 2 |
| 24.15 | 1 | 1 1 0 |

4.
The following is a theoretical powder XRD pattern of CsAsH. It was derived from a cell relaxed with GGA-PBE, using Cu Kα (weighted mean of Kα1 and Kα2).
No peak broadening, texture or thermal motion is included.

Structure:
Cell lengths 5.8104, 6.1626, 10.1903 Å; angles 90.00, 90.00, 90.00 degrees
Space group Pnma (No. 62)
One atom of each set of equivalent atoms:
Cs (0.2026, 0.2500, 0.0964) (multiplicity 4)
As (0.0773, 0.2500, 0.7531) (multiplicity 4)
H (0.0899, 0.2500, 0.6008) (multiplicity 4)

Peak list (12 most intense, 10 to 80 degrees two-theta, in order of falling intensity)
| 2θ (°) | I/Imax | hkl |
| --- | --- | --- |
| 22.77 | 100 | 1 1 1 |
| 30.04 | 97 | 0 1 3 |
| 23.22 | 62 | 1 0 2 |
| 28.98 | 57 | 0 2 0 |
| 37.46 | 35 | 1 2 2 |
| 35.27 | 35 | 2 1 1 |
| 34.12 | 32 | 2 1 0 |
| 52.03 | 21 | 0 3 3 |
| 50.88 | 19 | 2 2 3 |
| 40.87 | 18 | 2 0 3 |
| 47.80 | 18 | 1 3 1 |
| 49.66 | 16 | 1 1 5 |

5.
The following is a theoretical powder XRD pattern of Na7Tl12Sn. It was derived from a cell relaxed with GGA-PBE, using Cu Kα (weighted mean of Kα1 and Kα2).
No peak broadening, texture or thermal motion is included.

Structure:
Cell lengths 6.1881, 9.1794, 11.0727 Å; angles 71.67, 87.18, 88.81 degrees
Space group P-1 (No. 2)
One atom of each set of equivalent atoms:
Na (0.0000, 0.0000, 0.0000) (multiplicity 1)
Na (0.2315, 0.1035, 0.4513) (multiplicity 2)
Na (0.2930, 0.2779, 0.7071) (multiplicity 2)
Na (0.3255, 0.6479, 0.0838) (multiplicity 2)
Tl (0.1536, 0.4819, 0.3790) (multiplicity 2)
Tl (0.1688, 0.5268, 0.8569) (multiplicity 2)
Tl (0.2107, 0.8749, 0.2778) (multiplicity 2)
Tl (0.2597, 0.2553, 0.1325) (multiplicity 2)
Tl (0.2706, 0.9026, 0.7571) (multiplicity 2)
Tl (0.3593, 0.6739, 0.5631) (multiplicity 2)
Sn (0.5000, 0.0000, 0.0000) (multiplicity 1)

Peak list (12 most intense, 10 to 80 degrees two-theta, in order of falling intensity)
| 2θ (°) | I/Imax | hkl |
| --- | --- | --- |
| 34.16 | 100 | 1 2 -2 |
| 32.39 | 78 | 0 1 4 |
| 34.31 | 57 | -2 1 2 |
| 33.09 | 51 | 1 3 2 |
| 32.97 | 51 | 2 0 2 |
| 33.56 | 46 | 1 -2 2 |
| 28.89 | 40 | 2 0 0 |
| 15.12 | 33 | 0 1 -1 |
| 16.76 | 33 | 0 1 2 |
| 33.92 | 28 | -1 3 2 |
| 17.64 | 27 | 1 -1 0 |
| 21.57 | 21 | 1 1 2 |

6.
The following is a theoretical powder XRD pattern of Ac3PrGe4. It was derived from a cell relaxed with GGA-PBE, using Cu Kα (weighted mean of Kα1 and Kα2).
No peak broadening, texture or thermal motion is included.

Structure:
Cell lengths 4.4959, 6.6816, 17.2371 Å; angles 90.00, 90.00, 90.00 degrees
Space group Immm (No. 71)
One atom of each set of equivalent atoms:
Ac (0.0000, 0.0000, 0.0000) (multiplicity 2)
Ac (0.0000, 0.5000, 0.1958) (multiplicity 4)
Pr (0.0000, 0.0000, 0.5000) (multiplicity 2)
Ge (0.0000, 0.3117, 0.3722) (multiplicity 8)

Peak list (12 most intense, 10 to 80 degrees two-theta, in order of falling intensity)
| 2θ (°) | I/Imax | hkl |
| --- | --- | --- |
| 26.03 | 100 | 1 1 2 |
| 32.73 | 28 | 1 0 5 |
| 20.39 | 24 | 0 1 3 |
| 33.95 | 23 | 0 2 4 |
| 48.82 | 22 | 1 1 8 |
| 46.72 | 20 | 1 3 2 |
| 40.11 | 20 | 2 0 0 |
| 63.54 | 19 | 1 3 8 |
| 31.73 | 18 | 1 1 4 |
| 36.99 | 17 | 1 2 3 |
| 26.68 | 16 | 0 2 0 |
| 33.83 | 14 | 1 2 1 |

7.
The following is a theoretical powder XRD pattern of K3SiO4. It was derived from a cell relaxed with GGA-PBE, using Cu Kα (weighted mean of Kα1 and Kα2).
No peak broadening, texture or thermal motion is included.

Structure:
Cell lengths 7.7738, 8.3341, 8.9552 Å; angles 90.00, 90.00, 90.00 degrees
Space group Pnma (No. 62)
One atom of each set of equivalent atoms:
K (0.0262, 0.0171, 0.2194) (multiplicity 8)
K (0.1739, 0.7500, 0.5076) (multiplicity 4)
Si (0.2251, 0.7500, 0.9875) (multiplicity 4)
O (0.0202, 0.7500, 0.0364) (multiplicity 4)
O (0.1807, 0.0871, 0.5531) (multiplicity 8)
O (0.2393, 0.7500, 0.8035) (multiplicity 4)

Peak list (12 most intense, 10 to 80 degrees two-theta, in order of falling intensity)
| 2θ (°) | I/Imax | hkl |
| --- | --- | --- |
| 29.28 | 100 | 0 2 2 |
| 31.48 | 68 | 2 2 0 |
| 30.45 | 63 | 2 0 2 |
| 40.28 | 25 | 0 0 4 |
| 36.08 | 23 | 3 0 1 |
| 43.43 | 22 | 0 4 0 |
| 39.89 | 18 | 2 3 0 |
| 51.99 | 18 | 2 2 4 |
| 37.48 | 16 | 2 2 2 |
| 14.52 | 13 | 0 1 1 |
| 32.12 | 13 | 1 0 3 |
| 53.97 | 12 | 2 4 2 |

8.
The following is a theoretical powder XRD pattern of NpBrCl2. It was derived from a cell relaxed with GGA-PBE, using Cu Kα (weighted mean of Kα1 and Kα2).
No peak broadening, texture or thermal motion is included.

Structure:
Cell lengths 7.7434, 11.8963, 7.3210 Å; angles 90.00, 116.95, 90.00 degrees
Space group Cc (No. 9)
One atom of each set of equivalent atoms:
Np (0.0000, 0.0915, 0.0000) (multiplicity 4)
Br (0.2694, 0.4179, 0.7180) (multiplicity 4)
Cl (0.2056, 0.0682, 0.7830) (multiplicity 4)
Cl (0.2569, 0.2482, 0.2472) (multiplicity 4)

Peak list (12 most intense, 10 to 80 degrees two-theta, in order of falling intensity)
| 2θ (°) | I/Imax | hkl |
| --- | --- | --- |
| 14.85 | 100 | 1 1 0 |
| 20.20 | 51 | 0 2 1 |
| 32.04 | 43 | 1 3 1 |
| 27.84 | 27 | 2 0 -2 |
| 15.71 | 20 | 1 1 -1 |
| 41.95 | 17 | 3 3 -1 |
| 36.97 | 16 | 3 1 -2 |
| 43.94 | 15 | 1 3 -3 |
| 40.63 | 13 | 2 2 -3 |
| 40.07 | 13 | 1 5 0 |
| 23.82 | 13 | 1 1 1 |
| 27.56 | 12 | 2 2 -1 |